Record 1
# Pr4Er3Tm4
Calculated powder XRD pattern, CuKα. Input: a PBE-relaxed structure.

Top 10 peaks for 2θ from 10° to 90°, by angle:
d/Å	two_theta	I_rel
2.979	30.0	19
2.942	30.4	21
2.863	31.2	39
2.821	31.7	100
2.794	32.0	60
2.697	33.2	79
1.822	50.1	20
1.618	56.9	19
1.526	60.7	22
1.510	61.4	19

Atomic structure:
```
11
Lattice="18.059 -2.794 0.000 18.059 2.794 0.000 -0.350 0.000 3.573" Properties=species:S:1:pos:R:3 pbc="T T T"
Pr 1.883 0.000 0.204
Pr 11.380 0.000 2.930
Pr 24.389 0.000 0.643
Pr 33.886 0.000 3.369
Er 5.057 0.000 2.320
Er 17.884 0.000 1.786
Er 30.712 0.000 1.252
Tm 8.398 0.000 0.840
Tm 14.574 0.000 1.438
Tm 21.195 0.000 2.135
Tm 27.371 0.000 2.733
```

---

Record 2
# PrErTm6
Calculated powder XRD pattern, CuKα. Input: a PBE-relaxed structure.

Top 10 peaks for 2θ from 10° to 90°, by angle:
d/Å	two_theta	I_rel
2.870	31.2	100
2.486	36.1	51
1.758	52.0	36
1.500	61.9	28
1.497	62.0	14
1.435	65.0	12
1.141	85.0	6
1.140	85.1	12
1.112	87.7	11
1.110	87.9	6

Atomic structure:
```
8
Lattice="7.037 0.000 0.000 0.000 7.037 0.000 0.000 0.000 4.963" Properties=species:S:1:pos:R:3 pbc="T T T"
Pr 0.000 0.000 0.000
Er 3.519 3.519 0.000
Tm 0.000 3.519 0.000
Tm 1.776 1.776 2.481
Tm 1.776 5.261 2.481
Tm 3.519 0.000 0.000
Tm 5.261 1.776 2.481
Tm 5.261 5.261 2.481
```

---

Record 3
# Pr3Er7Tm2
Calculated powder XRD pattern, CuKα. Input: a PBE-relaxed structure.

Top 10 peaks for 2θ from 10° to 90°, by angle:
d/Å	two_theta	I_rel
3.120	28.6	27
2.907	30.8	31
2.895	30.9	28
2.884	31.0	34
2.860	31.3	100
2.832	31.6	29
2.809	31.9	49
2.687	33.3	34
2.577	34.8	40
1.683	54.5	26

Atomic structure:
```
12
Lattice="5.799 0.000 0.000 0.000 3.557 0.000 -0.987 0.000 18.721" Properties=species:S:1:pos:R:3 pbc="T T T"
Pr 0.000 0.000 0.000
Pr 0.977 1.778 11.863
Pr 3.835 1.778 6.858
Er 0.972 1.778 2.698
Er 0.954 0.000 8.643
Er 0.955 0.000 15.433
Er 2.899 1.778 0.000
Er 3.857 0.000 3.289
Er 3.858 0.000 10.078
Er 3.839 1.778 16.023
Tm 0.940 0.000 5.458
Tm 3.871 0.000 13.263
```

---

Record 4
# PrErTm3
Calculated powder XRD pattern, CuKα. Input: a PBE-relaxed structure.

Top 10 peaks for 2θ from 10° to 90°, by angle:
d/Å	two_theta	I_rel
3.124	28.6	24
2.809	31.9	24
2.731	32.8	100
2.089	43.3	16
1.804	50.6	20
1.606	57.4	20
1.518	61.0	23
1.505	61.6	16
1.156	83.7	9
1.108	88.2	8

Atomic structure:
```
10
Lattice="6.247 0.000 0.000 0.000 5.618 0.000 -3.110 0.000 9.021" Properties=species:S:1:pos:R:3 pbc="T T T"
Pr -0.510 1.405 2.707
Pr 3.648 4.214 6.314
Er 2.600 1.405 0.890
Er 0.537 4.214 8.131
Tm 0.539 4.214 0.883
Tm -0.500 1.405 6.338
Tm 0.546 4.214 4.516
Tm 2.591 1.405 4.505
Tm 3.638 4.214 2.683
Tm 2.598 1.405 8.138
```